Entry 1:
Structure and calculated powder X-ray diffraction pattern of TbB4Mo (a PBE-relaxed structure; a wavelength of 1.5418 Å).

Cell and atoms:
Cell lengths 6.044, 11.681, 3.638 Å; angles 90.00, 90.00, 90.00 degrees
Atoms (fractional coordinates):
Tb 0.127 0.150 0.000
Tb 0.373 0.650 0.000
Tb 0.627 0.350 0.000
Tb 0.873 0.850 0.000
B 0.024 0.693 0.500
B 0.114 0.547 0.500
B 0.134 0.968 0.500
B 0.214 0.814 0.500
B 0.286 0.314 0.500
B 0.366 0.468 0.500
B 0.386 0.047 0.500
B 0.476 0.193 0.500
B 0.524 0.807 0.500
B 0.614 0.953 0.500
B 0.634 0.532 0.500
B 0.714 0.686 0.500
B 0.786 0.186 0.500
B 0.866 0.032 0.500
B 0.886 0.453 0.500
B 0.976 0.307 0.500
Mo 0.129 0.417 0.000
Mo 0.371 0.917 0.000
Mo 0.629 0.083 0.000
Mo 0.871 0.583 0.000

Top 10 peaks for 15° ≤ 2θ ≤ 90°, in order of rising 2θ:
| 2θ/deg | d (Å) | intensity |
| --- | --- | --- |
| 24.47 | 3.638 | 82 |
| 27.24 | 3.273 | 25 |
| 30.57 | 2.924 | 81 |
| 34.10 | 2.629 | 21 |
| 36.94 | 2.433 | 29 |
| 37.68 | 2.387 | 21 |
| 39.54 | 2.279 | 100 |
| 42.42 | 2.131 | 29 |
| 45.44 | 1.996 | 31 |
| 59.89 | 1.544 | 24 |

***

Entry 2:
Structure and calculated powder X-ray diffraction pattern of BaNaN (a PBE-relaxed structure; a wavelength of 1.5418 Å).

Cell and atoms:
Cell lengths 9.874, 4.336, 6.514 Å; angles 90.00, 90.00, 90.00 degrees
Atoms (fractional coordinates):
Ba 0.153 0.250 0.031
Ba 0.347 0.750 0.531
Ba 0.653 0.250 0.469
Ba 0.847 0.750 0.969
Na 0.062 0.250 0.569
Na 0.438 0.750 0.069
Na 0.562 0.250 0.931
Na 0.938 0.750 0.431
N 0.102 0.750 0.759
N 0.398 0.250 0.259
N 0.602 0.750 0.741
N 0.898 0.250 0.241

Top 10 peaks for 15° ≤ 2θ ≤ 90°, in order of rising 2θ:
| 2θ/deg | d (Å) | intensity |
| --- | --- | --- |
| 16.30 | 5.437 | 41 |
| 26.29 | 3.390 | 88 |
| 27.38 | 3.258 | 100 |
| 30.43 | 2.937 | 58 |
| 39.11 | 2.303 | 63 |
| 41.66 | 2.168 | 19 |
| 47.74 | 1.905 | 14 |
| 50.56 | 1.805 | 15 |
| 52.45 | 1.744 | 24 |
| 52.85 | 1.732 | 29 |

***

Entry 3:
Structure and calculated powder X-ray diffraction pattern of MgCo2 (a PBE-relaxed structure; a wavelength of 1.5418 Å).

Cell and atoms:
Cell lengths 4.834, 4.834, 7.855 Å; angles 90.00, 90.00, 120.00 degrees
Atoms (fractional coordinates):
Mg 0.333 0.667 0.063
Mg 0.333 0.667 0.437
Mg 0.667 0.333 0.563
Mg 0.667 0.333 0.937
Co 0.000 0.000 0.000
Co 0.000 0.000 0.500
Co 0.171 0.342 0.750
Co 0.171 0.829 0.750
Co 0.342 0.171 0.250
Co 0.658 0.829 0.750
Co 0.829 0.171 0.250
Co 0.829 0.658 0.250

Top 10 peaks for 15° ≤ 2θ ≤ 90°, in order of rising 2θ:
| 2θ/deg | d (Å) | intensity |
| --- | --- | --- |
| 21.22 | 4.187 | 45 |
| 22.64 | 3.928 | 26 |
| 24.09 | 3.695 | 28 |
| 40.64 | 2.220 | 41 |
| 43.99 | 2.059 | 85 |
| 44.81 | 2.023 | 100 |
| 46.23 | 1.964 | 29 |
| 49.33 | 1.847 | 44 |
| 75.69 | 1.257 | 24 |
| 79.27 | 1.209 | 23 |